Simulated powder diffractogram
Compound: Pm3Ho7Mg
Radiation: Cu Kα X-rays
Structure: a structure optimized by DFT (PBE)
Intensities are scaled so that the largest is 100.

Structure:
a b c (Å): 5.8099 10.9473 11.2863
angles (deg): 90.00 90.00 90.00
Space group Immm (No. 71)
Unique sites:
Pm 0.0000 0.0000 0.0000 x2
Pm 0.0000 0.5000 0.2879 x4
Ho 0.0000 0.1956 0.2052 x8
Ho 0.0000 0.2841 0.5000 x4
Ho 0.0000 0.5000 0.0000 x2
Mg 0.0000 0.0000 0.5000 x2

Main lines, by angle (2θ = 5–70°):
2θ (°), I/Imax, (hkl)
23.68, 19.9, 1 2 1
28.89, 18.4, 1 3 0
30.78, 48.6, 2 0 0
31.71, 21.5, 0 0 4
32.74, 100.0, 1 2 3
33.05, 54.9, 1 3 2
44.78, 16.7, 2 0 4
45.54, 12.2, 2 4 0
55.98, 18.6, 3 2 3
62.10, 18.3, 1 2 7

---

Simulated powder diffractogram
Compound: Mg5GaPt
Radiation: Cu Kα X-rays
Structure: a structure optimized by DFT (PBE)
Intensities are scaled so that the largest is 100.

Structure:
a b c (Å): 11.1204 8.1582 9.2641
angles (deg): 90.00 111.45 90.00
Space group C2/c (No. 15)
Unique sites:
Mg 0.0000 0.1093 0.2500 x4
Mg 0.0129 0.3103 0.9599 x8
Mg 0.2441 0.0304 0.6263 x8
Ga 0.0000 0.4444 0.2500 x4
Pt 0.0000 0.0000 0.0000 x4

Main lines, by angle (2θ = 5–70°):
2θ (°), I/Imax, (hkl)
13.82, 57.5, 1 1 0
17.13, 100.0, 2 0 0
21.79, 46.8, 0 2 0
22.09, 98.9, 1 1 -2
27.42, 22.5, 1 1 2
27.85, 20.5, 2 2 0
28.74, 20.9, 3 1 -2
34.67, 37.2, 4 0 0
38.40, 33.2, 1 3 -2
41.88, 23.1, 0 0 4

---

Simulated powder diffractogram
Compound: Sm6Os2Au
Radiation: Cu Kα X-rays
Structure: a structure optimized by DFT (PBE)
Intensities are scaled so that the largest is 100.

Structure:
a b c (Å): 9.5753 9.6568 10.4736
angles (deg): 90.00 90.00 90.00
Space group Immm (No. 71)
Unique sites:
Sm 0.0000 0.1851 0.1697 x8
Sm 0.1821 0.2244 0.5000 x8
Sm 0.1972 0.5000 0.2554 x8
Os 0.0000 0.0000 0.3814 x4
Os 0.1747 0.0000 0.0000 x4
Au 0.0000 0.5000 0.0000 x2
Au 0.0000 0.5000 0.5000 x2

Main lines, by angle (2θ = 5–70°):
2θ (°), I/Imax, (hkl)
18.37, 25.5, 0 2 0
31.37, 79.3, 2 2 2
33.02, 49.0, 1 2 3
34.20, 100.0, 3 1 2
34.65, 34.8, 2 3 1
34.76, 69.8, 3 2 1
37.24, 37.0, 0 4 0
38.02, 27.9, 0 3 3
39.20, 27.9, 2 0 4
58.58, 31.4, 3 5 2

---

Simulated powder diffractogram
Compound: ZrBe4Nb
Radiation: Cu Kα X-rays
Structure: a structure optimized by DFT (PBE)
Intensities are scaled so that the largest is 100.

Structure:
a b c (Å): 3.1241 3.7309 6.4968
angles (deg): 90.00 90.00 90.00
Space group Pmmm (No. 47)
Unique sites:
Zr 0.0000 0.0000 0.0000 x1
Be 0.5000 0.0000 0.3395 x2
Be 0.5000 0.5000 0.1751 x2
Nb 0.0000 0.5000 0.5000 x1

Main lines, by angle (2θ = 5–70°):
2θ (°), I/Imax, (hkl)
27.46, 36.0, 0 0 2
27.57, 71.6, 0 1 1
28.57, 27.9, 1 0 0
40.10, 100.0, 1 0 2
48.61, 21.0, 0 1 3
48.82, 10.4, 0 2 0
56.92, 9.0, 0 2 2
57.36, 15.5, 1 1 3
64.91, 15.5, 1 2 2
66.45, 16.7, 2 1 1

---

Simulated powder diffractogram
Compound: Al2V7W3
Radiation: Cu Kα X-rays
Structure: a structure optimized by DFT (PBE)
Intensities are scaled so that the largest is 100.

Structure:
a b c (Å): 4.3176 21.0542 4.0992
angles (deg): 90.00 90.00 90.00
Space group Cmmm (No. 65)
Unique sites:
Al 0.0000 0.1486 0.0000 x4
V 0.0000 0.0000 0.0000 x2
V 0.0000 0.0702 0.5000 x4
V 0.0000 0.2712 0.0000 x4
V 0.0000 0.4232 0.0000 x4
W 0.0000 0.3492 0.5000 x4
W 0.0000 0.5000 0.5000 x2

Main lines, by angle (2θ = 5–70°):
2θ (°), I/Imax, (hkl)
8.40, 24.0, 0 2 0
21.00, 39.0, 1 1 0
21.68, 19.3, 0 0 1
30.37, 24.4, 1 1 1
33.62, 26.1, 0 6 1
37.02, 17.8, 1 5 1
41.85, 29.2, 2 0 0
42.77, 100.0, 1 7 1
44.19, 24.9, 0 0 2
62.48, 17.2, 2 0 2